(1)
For Pr5Sm, a DFT-relaxed cell (GGA-PBE, Alexandria) gives the calculated powder diffraction line list in this record (copper Kα).

Principal peaks in the range 10 to 80 degrees two-theta, in order of rising 2θ:
2θ/deg, I (rel.)
28.86, 31
29.02, 31
31.47, 100
41.39, 24
52.80, 23
53.00, 23
57.54, 18
65.68, 12

Cell and atoms:
Unit cell a=6.4170 b=6.4170 c=6.1529 alpha=90.00 beta=90.00 gamma=122.35
Positions (direct):
1 Pr 0.0000 0.0000 0.0000
2 Pr 0.1646 0.8354 0.5000
3 Pr 0.3364 0.6636 0.0000
4 Pr 0.6636 0.3364 0.0000
5 Pr 0.8354 0.1646 0.5000
6 Sm 0.5000 0.5000 0.5000



(2)
For Pr3Sm5, a DFT-relaxed cell (GGA-PBE, Alexandria) gives the calculated powder diffraction line list in this record (copper Kα).

Principal peaks in the range 10 to 80 degrees two-theta, in order of rising 2θ:
2θ/deg, I (rel.)
29.87, 100
34.63, 51
49.78, 36
59.15, 43
62.06, 12
73.06, 6

Cell and atoms:
Unit cell a=3.6641 b=3.6641 c=20.7109 alpha=90.00 beta=90.00 gamma=90.00
Positions (direct):
1 Pr 0.0000 0.0000 0.0000
2 Pr 0.5000 0.5000 0.3743
3 Pr 0.5000 0.5000 0.6257
4 Sm 0.0000 0.0000 0.2486
5 Sm 0.0000 0.0000 0.5000
6 Sm 0.0000 0.0000 0.7514
7 Sm 0.5000 0.5000 0.1256
8 Sm 0.5000 0.5000 0.8744



(3)
For Pr13Sm3, a DFT-relaxed cell (GGA-PBE, Alexandria) gives the calculated powder diffraction line list in this record (copper Kα).

Principal peaks in the range 10 to 80 degrees two-theta, in order of rising 2θ:
2θ/deg, I (rel.)
29.59, 100
34.28, 34
34.34, 17
49.29, 36
58.45, 15
58.59, 29
61.42, 13
79.94, 12

Cell and atoms:
Unit cell a=10.4785 b=7.3880 c=7.3880 alpha=89.98 beta=90.00 gamma=90.00
Positions (direct):
1 Pr 0.0000 0.0000 0.0000
2 Pr 0.0000 0.9997 0.4979
3 Pr 0.0000 0.4979 0.9997
4 Pr 0.0000 0.4976 0.4976
5 Pr 0.2507 0.2481 0.7494
6 Pr 0.2507 0.7494 0.2481
7 Pr 0.2512 0.7494 0.7494
8 Pr 0.5000 0.0004 0.4970
9 Pr 0.5000 0.4970 0.0004
10 Pr 0.5000 0.4972 0.4972
11 Pr 0.7493 0.2481 0.7494
12 Pr 0.7493 0.7494 0.2481
13 Pr 0.7488 0.7494 0.7494
14 Sm 0.2503 0.2480 0.2480
15 Sm 0.5000 0.0002 0.0002
16 Sm 0.7497 0.2480 0.2480



(4)
For PrSm3Sn2, a DFT-relaxed cell (GGA-PBE, Alexandria) gives the calculated powder diffraction line list in this record (copper Kα).

Principal peaks in the range 10 to 80 degrees two-theta, in order of rising 2θ:
2θ/deg, I (rel.)
27.48, 32
29.33, 40
29.85, 100
30.95, 99
32.96, 35
34.38, 65
36.49, 35
38.52, 60

Cell and atoms:
Unit cell a=9.4903 b=9.4903 c=9.7639 alpha=114.00 beta=114.00 gamma=28.51
Positions (direct):
1 Pr 0.1155 0.1155 0.1302
2 Pr 0.8845 0.8845 0.8698
3 Sm 0.0539 0.0539 0.6898
4 Sm 0.3081 0.3081 0.1115
5 Sm 0.3528 0.3528 0.5204
6 Sm 0.6472 0.6472 0.4796
7 Sm 0.6919 0.6919 0.8885
8 Sm 0.9461 0.9461 0.3102
9 Sn 0.2421 0.2421 0.7138
10 Sn 0.4921 0.4921 0.1449
11 Sn 0.5079 0.5079 0.8551
12 Sn 0.7579 0.7579 0.2862



(5)
For Pr8SmSn6, a DFT-relaxed cell (GGA-PBE, Alexandria) gives the calculated powder diffraction line list in this record (copper Kα).

Principal peaks in the range 10 to 80 degrees two-theta, in order of rising 2θ:
2θ/deg, I (rel.)
18.81, 6
23.11, 15
32.91, 100
42.91, 8
47.24, 17
58.74, 28
58.86, 9
78.62, 16

Cell and atoms:
Unit cell a=8.5995 b=8.5995 c=8.5995 alpha=66.53 beta=66.53 gamma=66.53
Positions (direct):
1 Pr 0.0611 0.3973 0.7318
2 Pr 0.1664 0.1664 0.1664
3 Pr 0.2682 0.9389 0.6027
4 Pr 0.3973 0.7318 0.0611
5 Pr 0.6027 0.2682 0.9389
6 Pr 0.7318 0.0611 0.3973
7 Pr 0.8336 0.8336 0.8336
8 Pr 0.9389 0.6027 0.2682
9 Sm 0.5000 0.5000 0.5000
10 Sn 0.1026 0.7627 0.4322
11 Sn 0.2373 0.5678 0.8974
12 Sn 0.4322 0.1026 0.7627
13 Sn 0.5678 0.8974 0.2373
14 Sn 0.7627 0.4322 0.1026
15 Sn 0.8974 0.2373 0.5678



(6)
For SrPrSm, a DFT-relaxed cell (GGA-PBE, Alexandria) gives the calculated powder diffraction line list in this record (copper Kα).

Principal peaks in the range 10 to 80 degrees two-theta, in order of rising 2θ:
2θ/deg, I (rel.)
28.20, 32
28.59, 100
33.02, 72
47.13, 22
47.64, 25
55.83, 15
56.28, 27
56.51, 15

Cell and atoms:
Unit cell a=3.8174 b=3.8174 c=9.4948 alpha=90.00 beta=90.00 gamma=120.00
Positions (direct):
1 Sr 0.0000 0.0000 0.0000
2 Pr 0.6667 0.3333 0.3554
3 Sm 0.3333 0.6667 0.6516



(7)
For SrPr8Sm6, a DFT-relaxed cell (GGA-PBE, Alexandria) gives the calculated powder diffraction line list in this record (copper Kα).

Principal peaks in the range 10 to 80 degrees two-theta, in order of rising 2θ:
2θ/deg, I (rel.)
28.80, 31
28.90, 100
30.96, 13
33.47, 72
34.03, 14
47.99, 20
48.12, 19
57.08, 24

Cell and atoms:
Unit cell a=8.4734 b=8.4734 c=8.4734 alpha=72.37 beta=72.37 gamma=72.37
Positions (direct):
1 Sr 0.0000 0.0000 0.0000
2 Pr 0.0552 0.3868 0.8570
3 Pr 0.1430 0.9448 0.6132
4 Pr 0.2354 0.2354 0.2354
5 Pr 0.3868 0.8570 0.0552
6 Pr 0.6132 0.1430 0.9448
7 Pr 0.7646 0.7646 0.7646
8 Pr 0.8570 0.0552 0.3868
9 Pr 0.9448 0.6132 0.1430
10 Sm 0.1719 0.6185 0.4306
11 Sm 0.3815 0.5694 0.8281
12 Sm 0.4306 0.1719 0.6185
13 Sm 0.5694 0.8281 0.3815
14 Sm 0.6185 0.4306 0.1719
15 Sm 0.8281 0.3815 0.5694



(8)
For SrPr6Sm12, a DFT-relaxed cell (GGA-PBE, Alexandria) gives the calculated powder diffraction line list in this record (copper Kα).

Principal peaks in the range 10 to 80 degrees two-theta, in order of rising 2θ:
2θ/deg, I (rel.)
28.57, 40
30.53, 50
30.69, 65
31.00, 100
33.29, 33
33.44, 23
53.63, 30
55.06, 26

Cell and atoms:
Unit cell a=8.9955 b=8.9955 c=8.9955 alpha=98.88 beta=98.88 gamma=98.88
Positions (direct):
1 Sr 0.0000 0.0000 0.0000
2 Pr 0.1007 0.1007 0.6525
3 Pr 0.1007 0.6525 0.1007
4 Pr 0.3475 0.8993 0.8993
5 Pr 0.6525 0.1007 0.1007
6 Pr 0.8993 0.3475 0.8993
7 Pr 0.8993 0.8993 0.3475
8 Sm 0.0830 0.3602 0.3602
9 Sm 0.2397 0.5000 0.7603
10 Sm 0.2397 0.7603 0.5000
11 Sm 0.3602 0.0830 0.3602
12 Sm 0.3602 0.3602 0.0830
13 Sm 0.5000 0.2397 0.7603
14 Sm 0.5000 0.7603 0.2397
15 Sm 0.6398 0.6398 0.9170
16 Sm 0.6398 0.9170 0.6398
17 Sm 0.7603 0.2397 0.5000
18 Sm 0.7603 0.5000 0.2397
19 Sm 0.9170 0.6398 0.6398



(9)
For Tb8Pr3Sm4, a DFT-relaxed cell (GGA-PBE, Alexandria) gives the calculated powder diffraction line list in this record (copper Kα).

Principal peaks in the range 10 to 80 degrees two-theta, in order of rising 2θ:
2θ/deg, I (rel.)
27.64, 35
30.29, 100
30.59, 47
31.62, 28
41.46, 46
41.70, 22
54.18, 18
65.99, 20

Cell and atoms:
Unit cell a=9.3534 b=9.3534 c=6.8380 alpha=111.42 beta=111.42 gamma=87.26
Positions (direct):
1 Tb 0.1413 0.8587 0.0000
2 Tb 0.2320 0.2320 0.9980
3 Tb 0.2354 0.2354 0.4780
4 Tb 0.2443 0.7557 0.5000
5 Tb 0.7557 0.2443 0.5000
6 Tb 0.7646 0.7646 0.5220
7 Tb 0.7680 0.7680 0.0020
8 Tb 0.8587 0.1413 0.0000
9 Pr 0.0000 0.0000 0.5000
10 Pr 0.0000 0.5000 0.0000
11 Pr 0.5000 0.0000 0.0000
12 Sm 0.0000 0.5000 0.5000
13 Sm 0.5000 0.0000 0.5000
14 Sm 0.5000 0.5000 0.0000
15 Sm 0.5000 0.5000 0.5000



(10)
For Tb7PrSm4, a DFT-relaxed cell (GGA-PBE, Alexandria) gives the calculated powder diffraction line list in this record (copper Kα).

Principal peaks in the range 10 to 80 degrees two-theta, in order of rising 2θ:
2θ/deg, I (rel.)
30.21, 43
30.82, 46
31.24, 62
31.34, 60
32.02, 100
32.42, 22
42.57, 15
56.65, 21

Cell and atoms:
Unit cell a=6.5681 b=6.9000 c=9.1239 alpha=85.71 beta=76.81 gamma=82.14
Positions (direct):
1 Tb 0.0000 0.0000 0.0000
2 Tb 0.1943 0.5984 0.3859
3 Tb 0.3139 0.2028 0.6432
4 Tb 0.4856 0.7519 0.0502
5 Tb 0.5144 0.2481 0.9498
6 Tb 0.6861 0.7972 0.3568
7 Tb 0.8057 0.4016 0.6141
8 Pr 0.0000 0.5000 0.0000
9 Sm 0.1642 0.1052 0.3145
10 Sm 0.3577 0.7006 0.7135
11 Sm 0.6423 0.2994 0.2865
12 Sm 0.8358 0.8948 0.6855



(11)
For Tb2Pr9Sm3, a DFT-relaxed cell (GGA-PBE, Alexandria) gives the calculated powder diffraction line list in this record (copper Kα).

Principal peaks in the range 10 to 80 degrees two-theta, in order of rising 2θ:
2θ/deg, I (rel.)
25.40, 24
29.45, 42
30.35, 82
32.09, 24
32.35, 100
33.88, 28
35.45, 25
52.67, 52

Cell and atoms:
Unit cell a=9.2023 b=9.2023 c=14.0268 alpha=90.00 beta=90.00 gamma=120.00
Positions (direct):
1 Tb 0.3333 0.6667 0.1424
2 Tb 0.3333 0.6667 0.3576
3 Tb 0.6667 0.3333 0.6424
4 Tb 0.6667 0.3333 0.8576
5 Pr 0.0795 0.4800 0.7500
6 Pr 0.1314 0.7250 0.5406
7 Pr 0.1314 0.7250 0.9594
8 Pr 0.2750 0.4064 0.5406
9 Pr 0.2750 0.4064 0.9594
10 Pr 0.4005 0.9205 0.7500
11 Pr 0.4064 0.1314 0.0406
12 Pr 0.4064 0.1314 0.4594
13 Pr 0.4800 0.4005 0.2500
14 Pr 0.5200 0.5995 0.7500
15 Pr 0.5936 0.8686 0.5406
16 Pr 0.5936 0.8686 0.9594
17 Pr 0.5995 0.0795 0.2500
18 Pr 0.7250 0.5936 0.0406
19 Pr 0.7250 0.5936 0.4594
20 Pr 0.8686 0.2750 0.0406
21 Pr 0.8686 0.2750 0.4594
22 Pr 0.9205 0.5200 0.2500
23 Sm 0.0809 0.2504 0.2500
24 Sm 0.1695 0.9191 0.2500
25 Sm 0.2504 0.1695 0.7500
26 Sm 0.7496 0.8305 0.2500
27 Sm 0.8305 0.0809 0.7500
28 Sm 0.9191 0.7496 0.7500



(12)
For Tb5Pr4Sm, a DFT-relaxed cell (GGA-PBE, Alexandria) gives the calculated powder diffraction line list in this record (copper Kα).

Principal peaks in the range 10 to 80 degrees two-theta, in order of rising 2θ:
2θ/deg, I (rel.)
25.64, 19
26.68, 23
30.87, 29
31.32, 27
31.47, 19
33.44, 100
47.71, 15
61.03, 13

Cell and atoms:
Unit cell a=3.5688 b=8.8663 c=11.3694 alpha=89.89 beta=89.95 gamma=78.51
Positions (direct):
1 Tb 0.0000 0.0000 0.0000
2 Tb 0.3238 0.3482 0.5520
3 Tb 0.3255 0.3466 0.9503
4 Tb 0.6745 0.6534 0.0497
5 Tb 0.6762 0.6518 0.4480
6 Pr 0.1605 0.6863 0.7499
7 Pr 0.4719 0.0637 0.7509
8 Pr 0.5281 0.9363 0.2491
9 Pr 0.8395 0.3137 0.2501
10 Sm 0.0000 0.0000 0.5000



(13)
For Tb2Pr4Sm, a DFT-relaxed cell (GGA-PBE, Alexandria) gives the calculated powder diffraction line list in this record (copper Kα).

Principal peaks in the range 10 to 80 degrees two-theta, in order of rising 2θ:
2θ/deg, I (rel.)
28.65, 62
30.40, 51
30.62, 100
30.74, 66
30.86, 95
32.32, 48
32.42, 50
32.54, 59

Cell and atoms:
Unit cell a=6.2308 b=6.7418 c=11.8971 alpha=90.00 beta=104.64 gamma=90.00
Positions (direct):
1 Tb 0.0976 0.2500 0.4971
2 Tb 0.2116 0.2500 0.0698
3 Tb 0.7884 0.7500 0.9302
4 Tb 0.9024 0.7500 0.5029
5 Pr 0.1452 0.0062 0.7853
6 Pr 0.1452 0.4938 0.7853
7 Pr 0.3490 0.7500 0.0539
8 Pr 0.4808 0.7500 0.6428
9 Pr 0.5192 0.2500 0.3572
10 Pr 0.6510 0.2500 0.9461
11 Pr 0.8548 0.5062 0.2147
12 Pr 0.8548 0.9938 0.2147
13 Sm 0.3490 0.7500 0.3431
14 Sm 0.6510 0.2500 0.6569